[1]
Calculated powder diffraction line list
Compound: Nb6Al10V
Radiation: Cu Ka
Structure: a DFT-relaxed cell (GGA-PBE, Alexandria)

Peak list (10 most intense, 2θ from 5° to 70°, in order of rising 2θ)
2θ (°)	d_spacing	I/Imax
16.51	5.371	15
22.60	3.934	23
28.11	3.174	100
33.37	2.685	18
38.77	2.322	70
39.68	2.272	82
40.68	2.218	100
49.33	1.847	19
51.24	1.783	32
58.14	1.587	22

Crystal structure
```
data_Nb6Al10V
_cell_length_a 7.8688
_cell_length_b 7.8688
_cell_length_c 5.3709
_cell_angle_alpha 90.00
_cell_angle_beta 90.00
_cell_angle_gamma 120.00
_space_group_name_H-M_alt 'P -3 1 m'
_space_group_IT_number 162
_space_group_name_Hall '-P 3 2'
loop_
_atom_site_label
_atom_site_type_symbol
_atom_site_fract_x
_atom_site_fract_y
_atom_site_fract_z
Nb1 Nb 0.0000 0.3801 0.2984
Al1 Al 0.0000 0.2610 0.8121
Al2 Al 0.3333 0.6667 0.0000
Al3 Al 0.3333 0.6667 0.5000
V1 V 0.0000 0.0000 0.5000
```

[2]
Calculated powder diffraction line list
Compound: Nb6AlV5
Radiation: Cu Ka
Structure: a DFT-relaxed cell (GGA-PBE, Alexandria)

Peak list (10 most intense, 2θ from 5° to 70°, in order of rising 2θ)
2θ (°)	d_spacing	I/Imax
27.81	3.207	6
28.17	3.168	13
40.01	2.253	100
40.47	2.229	20
49.46	1.843	3
49.82	1.830	3
57.46	1.604	6
58.25	1.584	13
65.20	1.431	2
65.75	1.420	2

Crystal structure
```
data_Nb6AlV5
_cell_length_a 4.458
_cell_length_b 6.415
_cell_length_c 13.509
_cell_angle_alpha 90.00
_cell_angle_beta 90.00
_cell_angle_gamma 90.00
_space_group_name_H-M_alt 'I m m m'
_space_group_IT_number 71
_space_group_name_Hall '-I 2 2'
loop_
_atom_site_label
_atom_site_type_symbol
_atom_site_fract_x
_atom_site_fract_y
_atom_site_fract_z
Nb1 Nb 0.000 0.237 0.000
Nb2 Nb 0.000 0.254 0.331
Al1 Al 0.000 0.000 0.500
V1 V 0.000 0.000 0.168
V2 V 0.000 0.500 0.161
V3 V 0.000 0.500 0.500
```

[3]
Calculated powder diffraction line list
Compound: Nb12AlZn3
Radiation: Cu Ka
Structure: a DFT-relaxed cell (GGA-PBE, Alexandria)

Peak list (10 most intense, 2θ from 5° to 70°, in order of rising 2θ)
2θ (°)	d_spacing	I/Imax
34.47	2.602	23
34.67	2.587	11
38.72	2.326	100
38.87	2.317	50
42.60	2.122	51
42.72	2.116	25
61.89	1.499	17
64.58	1.443	11
67.39	1.390	18
67.60	1.386	12

Crystal structure
```
data_Nb12AlZn3
_cell_length_a 5.202
_cell_length_b 5.204
_cell_length_c 10.350
_cell_angle_alpha 90.00
_cell_angle_beta 90.00
_cell_angle_gamma 90.00
_space_group_name_H-M_alt 'P m m m'
_space_group_IT_number 47
loop_
_space_group_symop_operation_xyz
'x,y,z'
'-x,-y,-z'
'-x,-y,z'
'x,y,-z'
'x,-y,-z'
'-x,y,z'
'-x,y,-z'
'x,-y,z'
loop_
_atom_site_label
_atom_site_type_symbol
_atom_site_fract_x
_atom_site_fract_y
_atom_site_fract_z
Nb1 Nb 0.000 0.000 0.124
Nb2 Nb 0.000 0.000 0.374
Nb3 Nb 0.251 0.500 0.250
Nb4 Nb 0.500 0.251 0.000
Nb5 Nb 0.500 0.252 0.500
Al1 Al 0.000 0.500 0.500
Zn1 Zn 0.000 0.500 0.000
Zn2 Zn 0.500 0.000 0.251
```

[4]
Calculated powder diffraction line list
Compound: ZrNbAl6
Radiation: Cu Ka
Structure: a DFT-relaxed cell (GGA-PBE, Alexandria)

Peak list (10 most intense, 2θ from 5° to 70°, in order of rising 2θ)
2θ (°)	d_spacing	I/Imax
20.07	4.425	20
24.95	3.569	47
32.47	2.758	12
38.26	2.353	15
38.47	2.340	100
40.78	2.213	21
46.58	1.950	29
53.56	1.711	11
63.61	1.463	22
67.99	1.379	9

Crystal structure
```
data_ZrNbAl6
_cell_length_a 3.900
_cell_length_b 3.900
_cell_length_c 8.850
_cell_angle_alpha 90.00
_cell_angle_beta 90.00
_cell_angle_gamma 90.00
_space_group_name_H-M_alt 'P 4/m m m'
_space_group_IT_number 123
_space_group_name_Hall '-P 4 2'
loop_
_atom_site_label
_atom_site_type_symbol
_atom_site_fract_x
_atom_site_fract_y
_atom_site_fract_z
Zr1 Zr 0.000 0.000 0.000
Nb1 Nb 0.500 0.500 0.500
Al1 Al 0.000 0.000 0.500
Al2 Al 0.000 0.500 0.256
Al3 Al 0.500 0.500 0.000
```

[5]
Calculated powder diffraction line list
Compound: Zr3NbAl12
Radiation: Cu Ka
Structure: a DFT-relaxed cell (GGA-PBE, Alexandria)

Peak list (10 most intense, 2θ from 5° to 70°, in order of rising 2θ)
2θ (°)	d_spacing	I/Imax
20.65	4.302	18
22.90	3.883	31
27.25	3.273	13
31.75	2.818	12
34.43	2.605	15
38.17	2.358	100
42.01	2.151	18
45.51	1.993	30
63.65	1.462	20
66.33	1.409	10

Crystal structure
```
data_Zr3NbAl12
_cell_length_a 3.986
_cell_length_b 3.986
_cell_length_c 17.207
_cell_angle_alpha 90.00
_cell_angle_beta 90.00
_cell_angle_gamma 90.00
_space_group_name_H-M_alt 'P 4 m m'
_space_group_IT_number 99
loop_
_space_group_symop_operation_xyz
'x,y,z'
'-y,x,z'
'-x,-y,z'
'y,-x,z'
'-x,y,z'
'y,x,z'
'x,-y,z'
'-y,-x,z'
loop_
_atom_site_label
_atom_site_type_symbol
_atom_site_fract_x
_atom_site_fract_y
_atom_site_fract_z
Zr1 Zr 0.000 0.000 0.000
Zr2 Zr 0.000 0.000 0.241
Zr3 Zr 0.500 0.500 0.735
Nb1 Nb 0.500 0.500 0.500
Al1 Al 0.000 0.000 0.492
Al2 Al 0.000 0.000 0.740
Al3 Al 0.000 0.500 0.120
Al4 Al 0.000 0.500 0.372
Al5 Al 0.000 0.500 0.615
Al6 Al 0.000 0.500 0.867
Al7 Al 0.500 0.500 0.244
Al8 Al 0.500 0.500 0.994
```

[6]
Calculated powder diffraction line list
Compound: NdAl6
Radiation: Cu Ka
Structure: a DFT-relaxed cell (GGA-PBE, Alexandria)

Peak list (10 most intense, 2θ from 5° to 70°, in order of rising 2θ)
2θ (°)	d_spacing	I/Imax
11.12	7.960	68
21.08	4.215	36
23.89	3.725	48
30.90	2.894	63
32.06	2.791	100
37.70	2.386	26
40.16	2.246	54
42.91	2.108	28
49.70	1.834	26
53.81	1.704	32

Crystal structure
```
data_NdAl6
_cell_length_a 5.961
_cell_length_b 5.961
_cell_length_c 7.960
_cell_angle_alpha 90.00
_cell_angle_beta 90.00
_cell_angle_gamma 90.00
_space_group_name_H-M_alt 'P 4/n b m'
_space_group_IT_number 125
loop_
_space_group_symop_operation_xyz
'x,y,z'
'-x,-y,-z'
'-y+1/2,x,z'
'y+1/2,-x,-z'
'-x+1/2,-y+1/2,z'
'x+1/2,y+1/2,-z'
'y,-x+1/2,z'
'-y,x+1/2,-z'
'x,-y+1/2,-z'
'-x,y+1/2,z'
'-y+1/2,-x+1/2,-z'
'y+1/2,x+1/2,z'
'-x+1/2,y,-z'
'x+1/2,-y,z'
'y,x,-z'
'-y,-x,z'
loop_
_atom_site_label
_atom_site_type_symbol
_atom_site_fract_x
_atom_site_fract_y
_atom_site_fract_z
Nd1 Nd 0.250 0.750 0.000
Al1 Al 0.071 0.571 0.355
Al2 Al 0.250 0.250 0.161
```